Record 1
Computed X-ray diffraction stick pattern
Compound: Li2Fe2P4H3O16
Radiation: copper Kα
Structure: a crystal structure in the Materials Project, relaxed with GGA+U

Largest 8 diffraction maxima, most intense first, 5 to 70 degrees two-theta:
- d 5.428, I 100, (0 1 -1)
- d 3.628, I 90, (1 -1 0)
- d 3.082, I 62, (1 2 1)
- d 3.935, I 42, (1 1 -1)
- d 3.035, I 38, (1 2 -1)
- d 3.578, I 36, (0 1 2)
- d 3.589, I 34, (0 1 -2)
- d 4.044, I 34, (1 1 1)

Crystal structure
```
data_Li2Fe2P4H3O16
_chemical_formula_sum 'Li2 Fe2 P4 H3 O16'
_space_group_name_H-M_alt 'P 1'
_space_group_IT_number 1
_cell_length_a 4.986
_cell_length_b 7.413
_cell_length_c 8.269
_cell_angle_alpha 89.68
_cell_angle_beta 87.89
_cell_angle_gamma 76.03
loop_
_space_group_symop_operation_xyz
'x,y,z'
loop_
_atom_site_label
_atom_site_fract_x
_atom_site_fract_y
_atom_site_fract_z
_atom_site_occupancy
Li1 0.000 0.000 0.000 1
Li2 0.298 0.656 0.316 1
Fe1 0.151 0.830 0.659 1
Fe2 0.657 0.332 0.156 1
P1 0.050 0.598 0.003 1
P2 0.257 0.075 0.314 1
P3 0.526 0.092 0.816 1
P4 0.776 0.570 0.501 1
H1 0.330 0.390 0.757 1
H2 0.607 0.854 0.177 1
H3 0.978 0.277 0.566 1
O1 0.007 0.678 0.485 1
O2 0.009 0.138 0.202 1
O3 0.152 0.041 0.486 1
O4 0.157 0.620 0.827 1
O5 0.297 0.983 0.832 1
O6 0.306 0.523 0.110 1
O7 0.416 0.267 0.706 1
O8 0.424 0.879 0.244 1
O9 0.432 0.217 0.314 1
O10 0.518 0.693 0.583 1
O11 0.600 0.154 0.983 1
O12 0.705 0.506 0.334 1
O13 0.783 0.972 0.731 1
O14 0.876 0.397 0.614 1
O15 0.885 0.782 0.075 1
O16 0.887 0.444 0.002 1
```


Record 2
Computed X-ray diffraction stick pattern
Compound: LiFePH2O5
Radiation: copper Kα
Structure: a crystal structure in the Materials Project, relaxed with GGA+U

Largest 8 diffraction maxima, most intense first, 5 to 70 degrees two-theta:
- d 8.178, I 100, (0 0 1)
- d 2.950, I 21, (1 1 -2)
- d 3.162, I 15, (-1 1 1)
- d 2.541, I 14, (1 1 2)
- d 2.860, I 13, (0 2 -1)
- d 5.214, I 11, (0 1 -1)
- d 4.144, I 11, (1 0 1)
- d 2.359, I 9, (1 1 -3)

Crystal structure
```
data_LiFePH2O5
_chemical_formula_sum 'Li2 Fe2 P2 H4 O10'
_space_group_name_H-M_alt 'P 1'
_space_group_IT_number 1
_cell_length_a 4.807
_cell_length_b 5.760
_cell_length_c 8.401
_cell_angle_alpha 103.22
_cell_angle_beta 90.00
_cell_angle_gamma 90.04
loop_
_space_group_symop_operation_xyz
'x,y,z'
loop_
_atom_site_label
_atom_site_fract_x
_atom_site_fract_y
_atom_site_fract_z
_atom_site_occupancy
Li1 0.000 0.000 0.000 1
Li2 0.500 0.262 0.154 1
Fe1 0.424 0.386 0.604 1
Fe2 0.923 0.873 0.551 1
P1 0.004 0.316 0.360 1
P2 0.504 0.943 0.795 1
H1 0.047 0.286 0.805 1
H2 0.451 0.722 0.371 1
H3 0.549 0.972 0.348 1
H4 0.953 0.538 0.783 1
O1 0.104 0.246 0.182 1
O2 0.116 0.447 0.806 1
O3 0.130 0.567 0.445 1
O4 0.133 0.145 0.462 1
O5 0.182 0.946 0.784 1
O6 0.603 0.015 0.973 1
O7 0.616 0.811 0.348 1
O8 0.630 0.692 0.710 1
O9 0.632 0.114 0.692 1
O10 0.683 0.313 0.370 1
```


Record 3
Computed X-ray diffraction stick pattern
Compound: Li2FePHO5
Radiation: copper Kα
Structure: a crystal structure in the Materials Project, relaxed with GGA+U

Largest 8 diffraction maxima, most intense first, 5 to 70 degrees two-theta:
- d 8.064, I 100, (1 0 0)
- d 2.691, I 76, (3 0 0)
- d 3.500, I 73, (1 2 -1)
- d 4.700, I 66, (0 1 1)
- d 3.090, I 59, (2 2 0)
- d 2.933, I 40, (2 2 -1)
- d 3.586, I 38, (0 2 1)
- d 2.592, I 37, (0 1 2)

Crystal structure
```
data_Li2FePHO5
_chemical_formula_sum 'Li8 Fe4 P4 H4 O20'
_space_group_name_H-M_alt 'P 1 21/c 1'
_space_group_IT_number 14
_cell_length_a 8.328
_cell_length_b 9.610
_cell_length_c 5.565
_cell_angle_alpha 90.00
_cell_angle_beta 104.47
_cell_angle_gamma 90.00
loop_
_space_group_symop_operation_xyz
'x,y,z'
'-x,-y,-z'
'-x,y+1/2,-z+1/2'
'x,-y+1/2,z+1/2'
loop_
_atom_site_label
_atom_site_fract_x
_atom_site_fract_y
_atom_site_fract_z
_atom_site_occupancy
Li1 0.089 0.170 0.332 1
Li2 0.187 0.662 0.769 1
Fe1 0.487 0.132 0.210 1
P1 0.188 0.023 0.869 1
H1 0.478 0.124 0.651 1
O1 0.060 0.120 0.702 1
O2 0.132 0.630 0.377 1
O3 0.238 0.081 0.143 1
O4 0.353 0.027 0.779 1
O5 0.450 0.684 0.922 1
```


Record 4
Computed X-ray diffraction stick pattern
Compound: Li3Fe2P4HO14
Radiation: copper Kα
Structure: a crystal structure in the Materials Project, relaxed with GGA+U

Largest 8 diffraction maxima, most intense first, 5 to 70 degrees two-theta:
- d 4.325, I 100, (1 0 -1)
- d 4.534, I 66, (0 1 1)
- d 6.087, I 63, (0 0 2)
- d 3.183, I 47, (1 1 3)
- d 3.392, I 42, (1 1 -2)
- d 4.421, I 40, (1 1 0)
- d 2.599, I 38, (1 -1 0)
- d 4.080, I 34, (1 0 1)

Crystal structure
```
data_Li3Fe2P4HO14
_chemical_formula_sum 'Li3 Fe2 P4 H1 O14'
_space_group_name_H-M_alt 'P -1'
_space_group_IT_number 2
_cell_length_a 5.118
_cell_length_b 5.237
_cell_length_c 12.454
_cell_angle_alpha 78.96
_cell_angle_beta 89.18
_cell_angle_gamma 61.30
loop_
_space_group_symop_operation_xyz
'x,y,z'
'-x,-y,-z'
loop_
_atom_site_label
_atom_site_fract_x
_atom_site_fract_y
_atom_site_fract_z
_atom_site_occupancy
Li1 0.000 0.000 0.000 1
Li2 0.210 0.195 0.501 1
Fe1 0.136 0.063 0.269 1
P1 0.294 0.411 0.128 1
P2 0.464 0.570 0.643 1
H1 0.500 0.500 0.000 1
O1 0.088 0.742 0.151 1
O2 0.146 0.776 0.599 1
O3 0.148 0.221 0.133 1
O4 0.294 0.362 0.379 1
O5 0.430 0.662 0.774 1
O6 0.456 0.315 0.023 1
O7 0.463 0.759 0.387 1
```


Record 5
Computed X-ray diffraction stick pattern
Compound: LiFePH2O5
Radiation: copper Kα
Structure: a crystal structure in the Materials Project, relaxed with GGA+U

Largest 8 diffraction maxima, most intense first, 5 to 70 degrees two-theta:
- d 6.586, I 100, (1 1 0)
- d 3.067, I 95, (1 2 1)
- d 3.383, I 79, (3 1 0)
- d 4.334, I 66, (0 1 1)
- d 2.557, I 36, (0 0 2)
- d 2.040, I 25, (0 4 0)
- d 4.604, I 23, (2 1 0)
- d 2.345, I 17, (4 1 1)

Crystal structure
```
data_LiFePH2O5
_chemical_formula_sum 'Li4 Fe4 P4 H8 O20'
_space_group_name_H-M_alt 'P n a 21'
_space_group_IT_number 33
_cell_length_a 11.151
_cell_length_b 8.161
_cell_length_c 5.115
_cell_angle_alpha 90.00
_cell_angle_beta 90.00
_cell_angle_gamma 90.00
loop_
_space_group_symop_operation_xyz
'x,y,z'
'-x,-y,z+1/2'
'-x+1/2,y+1/2,z+1/2'
'x+1/2,-y+1/2,z'
loop_
_atom_site_label
_atom_site_fract_x
_atom_site_fract_y
_atom_site_fract_z
_atom_site_occupancy
Li1 0.188 0.183 0.000 1
Fe1 0.123 0.372 0.490 1
P1 0.170 0.584 0.998 1
H1 0.002 0.944 0.667 1
H2 0.041 0.818 0.453 1
O1 0.018 0.095 0.990 1
O2 0.050 0.673 0.950 1
O3 0.166 0.409 0.877 1
O4 0.193 0.568 0.298 1
O5 0.227 0.183 0.372 1
```